Cs2YSeBr6: theoretical powder X-ray diffraction pattern (copper Kα), based on a DFT-relaxed cell (GGA-PBE, Alexandria).
Peak positions follow from Bragg's law for the DFT cell and can differ from measured ones.

Most intense lines, 10 to 80 degrees two-theta, sorted by position:
2θ = 20.83°, rel. 45, hkl 1 1 2
2θ = 26.26°, rel. 100, hkl 2 0 2
2θ = 27.12°, rel. 53, hkl 0 0 4
2θ = 31.95°, rel. 80, hkl 2 2 0
2θ = 42.39°, rel. 62, hkl 2 2 4
2θ = 54.05°, rel. 30, hkl 4 0 4

Structural model:
```
data_Cs2YSeBr6
_chemical_formula_sum 'Cs4 Y2 Se2 Br12'
_symmetry_space_group_name_H-M 'I 4/m m m'
_symmetry_Int_Tables_number 139
_symmetry_space_group_name_Hall '-I 4 2'
_cell_length_a 7.923
_cell_length_b 7.923
_cell_length_c 13.152
_cell_angle_alpha 90.00
_cell_angle_beta 90.00
_cell_angle_gamma 90.00
loop_
_atom_site_label
_atom_site_type_symbol
_atom_site_fract_x
_atom_site_fract_y
_atom_site_fract_z
Cs1 Cs 0.000 0.500 0.250
Y1 Y 0.000 0.000 0.000
Se1 Se 0.000 0.000 0.500
Br1 Br 0.000 0.000 0.211
Br2 Br 0.249 0.249 0.500
```